Structure and computed powder diffraction line list of MnTe2Pt (a PBE-relaxed structure; Cu Kα, 1.54184 Å).

Principal peaks in the range 2θ = 5–70°, low angle first:
d [Å]  2θ/deg  Rel. int.  (hkl)
5.626  15.75  18.7  0 0 1
4.010  22.17  8.7  0 1 0
2.829  31.63  100.0  1 1 0
2.813  31.81  49.3  0 0 2
2.527  35.52  10.9  1 1 1
2.005  45.23  18.5  0 2 0
1.995  45.47  91.1  2 0 0
1.633  56.35  19.2  0 2 2
1.628  56.55  19.0  2 0 2
1.414  66.06  11.8  2 2 0

Structure:
Lattice parameters (Å, degrees): 3.9907 4.0100 5.6262 90.00 90.06 90.00
Space group P2/m (No. 10)
Inequivalent atoms, fractional coordinates:
Mn (0.0000, 0.0000, 0.0000) (multiplicity 1)
Te (0.0000, 0.0000, 0.5000) (multiplicity 1)
Te (0.5000, 0.5000, 0.0000) (multiplicity 1)
Pt (0.5000, 0.5000, 0.5000) (multiplicity 1)